Theoretical PXRD pattern of K2U3PbSe8 for CuKα, from a cell relaxed with GGA-PBE.

Structural model:
Lattice parameters (Å, degrees): 14.713 8.487 9.341 90.00 121.61 90.00
Space group Cm (No. 8)
Unique sites:
K 0.000 0.000 0.000 [2 per cell]
K 0.137 0.500 0.912 [2 per cell]
U 0.136 0.500 0.403 [2 per cell]
U 0.384 0.252 0.403 [4 per cell]
Pb 0.251 0.000 0.754 [2 per cell]
Se 0.113 0.264 0.603 [4 per cell]
Se 0.163 0.269 0.217 [4 per cell]
Se 0.365 0.500 0.596 [2 per cell]
Se 0.378 0.000 0.604 [2 per cell]
Se 0.392 0.500 0.217 [2 per cell]
Se 0.405 0.000 0.215 [2 per cell]

Main lines, sorted by position (15 to 90 degrees two-theta):
| 2theta | Rel. int. | (hkl) |
| --- | --- | --- |
| 19.16 | 48.1 | 1 1 1 |
| 22.20 | 31.5 | 1 1 -2 |
| 23.76 | 55.7 | 0 2 1 |
| 24.50 | 73.8 | 2 2 -1 |
| 28.52 | 100.0 | 2 2 -2 |
| 35.92 | 77.4 | 4 0 1 |
| 37.44 | 27.2 | 5 1 0 |
| 38.88 | 69.0 | 4 0 -4 |
| 42.59 | 77.6 | 0 4 0 |
| 44.16 | 29.5 | 6 2 -1 |
| 48.72 | 21.3 | 2 2 3 |
| 74.54 | 24.3 | 0 4 5 |